# 1
The following is a simulated XRD peak list of LaGe2Ir2. It was derived from a structure optimized by DFT (PBE), using a wavelength of 1.5418 Å.

Structural model:
```
data_LaGe2Ir2
_cell_length_a 4.3082
_cell_length_b 4.3082
_cell_length_c 10.2892
_cell_angle_alpha 90.00
_cell_angle_beta 90.00
_cell_angle_gamma 90.00
_space_group_name_H-M_alt 'P 1'
_space_group_IT_number 1
_space_group_name_Hall 'P 1'
loop_
_atom_site_label
_atom_site_fract_x
_atom_site_fract_y
_atom_site_fract_z
_atom_site_occupancy
La1 0.2500 0.2500 0.2444 1
La2 0.7500 0.7500 0.7556 1
Ge1 0.2500 0.2500 0.6300 1
Ge2 0.2500 0.7500 0.0000 1
Ge3 0.7500 0.2500 0.0000 1
Ge4 0.7500 0.7500 0.3700 1
Ir1 0.2500 0.2500 0.8719 1
Ir2 0.2500 0.7500 0.5000 1
Ir3 0.7500 0.2500 0.5000 1
Ir4 0.7500 0.7500 0.1281 1
```

Top 10 peaks for 2θ = 10–80°, in order of falling intensity:
d_spacing, 2theta, Rel. int.
2.621, 34.2, 100.0
2.154, 41.9, 74.2
2.683, 33.4, 60.1
1.965, 46.2, 39.3
2.921, 30.6, 30.3
1.680, 54.6, 29.6
1.857, 49.1, 24.8
1.523, 60.8, 24.8
1.317, 71.7, 23.4
1.406, 66.5, 19.9


# 2
The following is a simulated XRD peak list of La2Ge3Ir3. It was derived from a structure optimized by DFT (PBE), using a wavelength of 1.5418 Å.

Structural model:
```
data_La2Ge3Ir3
_cell_length_a 2.8613
_cell_length_b 2.8613
_cell_length_c 21.1419
_cell_angle_alpha 90.00
_cell_angle_beta 90.00
_cell_angle_gamma 90.00
_space_group_name_H-M_alt 'P 1'
_space_group_IT_number 1
_space_group_name_Hall 'P 1'
loop_
_atom_site_label
_atom_site_fract_x
_atom_site_fract_y
_atom_site_fract_z
_atom_site_occupancy
La1 0.0000 0.0000 0.2365 1
La2 0.0000 0.0000 0.7635 1
Ge1 0.0000 0.0000 0.0000 1
Ge2 0.0000 0.0000 0.3872 1
Ge3 0.0000 0.0000 0.6128 1
Ir1 0.0000 0.0000 0.1161 1
Ir2 0.0000 0.0000 0.5000 1
Ir3 0.0000 0.0000 0.8839 1
```

Top 10 peaks for 2θ = 10–80°, in order of falling intensity:
d_spacing, 2theta, Rel. int.
2.861, 31.3, 100.0
1.942, 46.8, 57.3
7.047, 12.6, 37.5
2.023, 44.8, 37.3
2.643, 33.9, 31.4
1.607, 57.4, 28.0
1.280, 74.1, 16.8
1.258, 75.6, 15.5
2.651, 33.8, 14.7
1.431, 65.2, 12.2


# 3
The following is a simulated XRD peak list of La2Ge4IrRh3. It was derived from a structure optimized by DFT (PBE), using a wavelength of 1.5418 Å.

Structural model:
```
data_La2Ge4IrRh3
_cell_length_a 4.2259
_cell_length_b 4.2259
_cell_length_c 10.6528
_cell_angle_alpha 90.00
_cell_angle_beta 90.00
_cell_angle_gamma 90.00
_space_group_name_H-M_alt 'P 1'
_space_group_IT_number 1
_space_group_name_Hall 'P 1'
loop_
_atom_site_label
_atom_site_fract_x
_atom_site_fract_y
_atom_site_fract_z
_atom_site_occupancy
La1 0.0000 0.5000 0.2502 1
La2 0.5000 0.0000 0.7498 1
Ge1 0.0000 0.5000 0.6244 1
Ge2 0.0000 0.5000 0.8761 1
Ge3 0.5000 0.0000 0.1239 1
Ge4 0.5000 0.0000 0.3756 1
Ir1 0.0000 0.0000 0.5000 1
Rh1 0.0000 0.0000 0.0000 1
Rh2 0.5000 0.5000 0.0000 1
Rh3 0.5000 0.5000 0.5000 1
```

Top 10 peaks for 2θ = 10–80°, in order of falling intensity:
d_spacing, 2theta, Rel. int.
2.606, 34.4, 100.0
2.113, 42.8, 52.8
2.719, 32.9, 46.2
1.296, 73.0, 22.1
1.988, 45.6, 21.4
1.668, 55.0, 21.2
1.526, 60.7, 19.9
1.494, 62.1, 17.3
1.902, 47.8, 15.6
5.326, 16.6, 14.1


# 4
The following is a simulated XRD peak list of LaGe2IrRu. It was derived from a structure optimized by DFT (PBE), using a wavelength of 1.5418 Å.

Structural model:
```
data_LaGe2IrRu
_cell_length_a 6.0101
_cell_length_b 6.0101
_cell_length_c 6.0101
_cell_angle_alpha 138.24
_cell_angle_beta 138.24
_cell_angle_gamma 60.53
_space_group_name_H-M_alt 'P 1'
_space_group_IT_number 1
_space_group_name_Hall 'P 1'
loop_
_atom_site_label
_atom_site_fract_x
_atom_site_fract_y
_atom_site_fract_z
_atom_site_occupancy
La1 0.0000 0.0000 0.0000 1
Ge1 0.3697 0.3697 0.0000 1
Ge2 0.6303 0.6303 0.0000 1
Ir1 0.2500 0.7500 0.5000 1
Ru1 0.7500 0.2500 0.5000 1
```

Top 10 peaks for 2θ = 10–80°, in order of falling intensity:
d_spacing, 2theta, Rel. int.
2.616, 34.3, 100.0
2.142, 42.2, 53.9
2.692, 33.3, 44.2
1.971, 46.1, 23.2
1.311, 72.1, 23.1
1.502, 61.7, 21.9
5.191, 17.1, 21.6
1.676, 54.8, 21.3
1.514, 61.2, 17.8
3.960, 22.5, 13.3


# 5
The following is a simulated XRD peak list of LaTmGe4Ir2. It was derived from a structure optimized by DFT (PBE), using a wavelength of 1.5418 Å.

Structural model:
```
data_LaTmGe4Ir2
_cell_length_a 9.5391
_cell_length_b 9.5391
_cell_length_c 9.5391
_cell_angle_alpha 153.58
_cell_angle_beta 124.17
_cell_angle_gamma 62.79
_space_group_name_H-M_alt 'P 1'
_space_group_IT_number 1
_space_group_name_Hall 'P 1'
loop_
_atom_site_label
_atom_site_fract_x
_atom_site_fract_y
_atom_site_fract_z
_atom_site_occupancy
La1 0.2390 0.0000 0.2390 1
La2 0.7610 0.0000 0.7610 1
Tm1 0.2067 0.2067 0.0000 1
Tm2 0.7933 0.7933 0.0000 1
Ge1 0.0799 0.5799 0.5000 1
Ge2 0.1473 0.7987 0.3486 1
Ge3 0.4210 0.4210 0.0000 1
Ge4 0.4500 0.7987 0.6514 1
Ge5 0.5500 0.2013 0.3486 1
Ge6 0.5790 0.5790 0.0000 1
Ge7 0.8527 0.2013 0.6514 1
Ge8 0.9201 0.4201 0.5000 1
Ir1 0.1028 0.3510 0.7517 1
Ir2 0.4007 0.6490 0.7517 1
Ir3 0.5993 0.3510 0.2483 1
Ir4 0.8972 0.6490 0.2483 1
```

Top 10 peaks for 2θ = 10–80°, in order of falling intensity:
d_spacing, 2theta, Rel. int.
2.705, 33.1, 100.0
2.609, 34.4, 55.4
2.180, 41.4, 38.2
2.319, 38.8, 32.2
1.866, 48.8, 26.3
8.143, 10.9, 24.9
2.233, 40.4, 21.3
1.588, 58.1, 19.9
1.364, 68.9, 18.0
1.339, 70.3, 17.8


# 6
The following is a simulated XRD peak list of LiGe2Ir. It was derived from a structure optimized by DFT (PBE), using a wavelength of 1.5418 Å.

Structural model:
```
data_LiGe2Ir
_cell_length_a 4.3539
_cell_length_b 4.3539
_cell_length_c 4.3539
_cell_angle_alpha 60.00
_cell_angle_beta 60.00
_cell_angle_gamma 60.00
_space_group_name_H-M_alt 'P 1'
_space_group_IT_number 1
_space_group_name_Hall 'P 1'
loop_
_atom_site_label
_atom_site_fract_x
_atom_site_fract_y
_atom_site_fract_z
_atom_site_occupancy
Li1 0.0000 0.0000 0.0000 1
Ge1 0.2500 0.2500 0.2500 1
Ge2 0.7500 0.7500 0.7500 1
Ir1 0.5000 0.5000 0.5000 1
```

Top 9 peaks for 2θ = 10–80°, in order of falling intensity:
d_spacing, 2theta, Rel. int.
2.177, 41.5, 100.0
3.555, 25.0, 70.8
1.857, 49.1, 35.4
1.257, 75.7, 34.0
1.539, 60.1, 16.7
1.413, 66.2, 14.6
3.079, 29.0, 1.9
1.377, 68.1, 0.9
1.777, 51.4, 0.6


# 7
The following is a simulated XRD peak list of LuGeIr. It was derived from a structure optimized by DFT (PBE), using a wavelength of 1.5418 Å.

Structural model:
```
data_LuGeIr
_cell_length_a 6.7177
_cell_length_b 4.2563
_cell_length_c 7.6233
_cell_angle_alpha 90.00
_cell_angle_beta 90.00
_cell_angle_gamma 90.00
_space_group_name_H-M_alt 'P 1'
_space_group_IT_number 1
_space_group_name_Hall 'P 1'
loop_
_atom_site_label
_atom_site_fract_x
_atom_site_fract_y
_atom_site_fract_z
_atom_site_occupancy
Lu1 0.0101 0.2500 0.1912 1
Lu2 0.4899 0.7500 0.6912 1
Lu3 0.5101 0.2500 0.3088 1
Lu4 0.9899 0.7500 0.8088 1
Ge1 0.2121 0.7500 0.3840 1
Ge2 0.2879 0.2500 0.8840 1
Ge3 0.7121 0.7500 0.1160 1
Ge4 0.7879 0.2500 0.6160 1
Ir1 0.1629 0.2500 0.5611 1
Ir2 0.3371 0.7500 0.0611 1
Ir3 0.6629 0.2500 0.9389 1
Ir4 0.8371 0.7500 0.4389 1
```

Top 10 peaks for 2θ = 10–80°, in order of falling intensity:
d_spacing, 2theta, Rel. int.
2.492, 36.0, 100.0
2.615, 34.3, 83.2
2.182, 41.4, 58.9
2.128, 42.5, 54.0
2.148, 42.1, 43.3
1.374, 68.3, 38.1
2.520, 35.6, 35.5
3.252, 27.4, 29.5
1.512, 61.3, 28.7
2.377, 37.9, 26.5


# 8
The following is a simulated XRD peak list of Mn4Ge6Ir7. It was derived from a structure optimized by DFT (PBE), using a wavelength of 1.5418 Å.

Structural model:
```
data_Mn4Ge6Ir7
_cell_length_a 6.9948
_cell_length_b 6.9948
_cell_length_c 6.9948
_cell_angle_alpha 109.47
_cell_angle_beta 109.47
_cell_angle_gamma 109.47
_space_group_name_H-M_alt 'P 1'
_space_group_IT_number 1
_space_group_name_Hall 'P 1'
loop_
_atom_site_label
_atom_site_fract_x
_atom_site_fract_y
_atom_site_fract_z
_atom_site_occupancy
Mn1 0.0000 0.0000 0.5000 1
Mn2 0.0000 0.5000 0.0000 1
Mn3 0.5000 0.0000 0.0000 1
Mn4 0.5000 0.5000 0.5000 1
Ge1 0.0000 0.3061 0.3061 1
Ge2 0.0000 0.6939 0.6939 1
Ge3 0.3061 0.0000 0.3061 1
Ge4 0.3061 0.3061 0.0000 1
Ge5 0.6939 0.0000 0.6939 1
Ge6 0.6939 0.6939 0.0000 1
Ir1 0.0000 0.0000 0.0000 1
Ir2 0.2500 0.5000 0.7500 1
Ir3 0.2500 0.7500 0.5000 1
Ir4 0.5000 0.2500 0.7500 1
Ir5 0.5000 0.7500 0.2500 1
Ir6 0.7500 0.2500 0.5000 1
Ir7 0.7500 0.5000 0.2500 1
```

Top 10 peaks for 2θ = 10–80°, in order of falling intensity:
d_spacing, 2theta, Rel. int.
2.332, 38.6, 100.0
2.019, 44.9, 75.0
2.159, 41.8, 59.4
1.428, 65.4, 42.3
3.297, 27.0, 39.7
4.038, 22.0, 37.6
1.218, 78.6, 28.4
1.722, 53.2, 26.8
1.310, 72.1, 14.6
5.711, 15.5, 12.2


# 9
The following is a simulated XRD peak list of Nd2Ge3Ir. It was derived from a structure optimized by DFT (PBE), using a wavelength of 1.5418 Å.

Structural model:
```
data_Nd2Ge3Ir
_cell_length_a 4.1770
_cell_length_b 4.3580
_cell_length_c 7.3607
_cell_angle_alpha 90.00
_cell_angle_beta 90.00
_cell_angle_gamma 90.00
_space_group_name_H-M_alt 'P 1'
_space_group_IT_number 1
_space_group_name_Hall 'P 1'
loop_
_atom_site_label
_atom_site_fract_x
_atom_site_fract_y
_atom_site_fract_z
_atom_site_occupancy
Nd1 0.0000 0.0000 0.0000 1
Nd2 0.0000 0.5000 0.4834 1
Ge1 0.5000 0.0000 0.6459 1
Ge2 0.5000 0.5000 0.1641 1
Ge3 0.5000 0.5000 0.8227 1
Ir1 0.5000 0.0000 0.3138 1
```

Top 10 peaks for 2θ = 10–80°, in order of falling intensity:
d_spacing, 2theta, Rel. int.
2.790, 32.1, 100.0
2.761, 32.4, 52.8
2.138, 42.3, 45.9
1.494, 62.1, 29.2
1.711, 53.6, 25.5
2.179, 41.4, 24.8
2.089, 43.3, 23.5
7.361, 12.0, 17.5
1.508, 61.5, 15.4
1.323, 71.3, 11.2


# 10
The following is a simulated XRD peak list of Nd3Ge13Ir4. It was derived from a structure optimized by DFT (PBE), using a wavelength of 1.5418 Å.

Structural model:
```
data_Nd3Ge13Ir4
_cell_length_a 9.1267
_cell_length_b 9.1267
_cell_length_c 9.1267
_cell_angle_alpha 90.00
_cell_angle_beta 90.00
_cell_angle_gamma 90.00
_space_group_name_H-M_alt 'P 1'
_space_group_IT_number 1
_space_group_name_Hall 'P 1'
loop_
_atom_site_label
_atom_site_fract_x
_atom_site_fract_y
_atom_site_fract_z
_atom_site_occupancy
Nd1 0.0000 0.2500 0.5000 1
Nd2 0.0000 0.7500 0.5000 1
Nd3 0.2500 0.5000 0.0000 1
Nd4 0.5000 0.0000 0.2500 1
Nd5 0.5000 0.0000 0.7500 1
Nd6 0.7500 0.5000 0.0000 1
Ge1 0.0000 0.0000 0.0000 1
Ge2 0.0000 0.3057 0.1463 1
Ge3 0.0000 0.3057 0.8537 1
Ge4 0.0000 0.6943 0.1463 1
Ge5 0.0000 0.6943 0.8537 1
Ge6 0.1463 0.0000 0.3057 1
Ge7 0.1463 0.0000 0.6943 1
Ge8 0.1943 0.5000 0.3537 1
Ge9 0.1943 0.5000 0.6463 1
Ge10 0.3057 0.1463 0.0000 1
Ge11 0.3057 0.8537 0.0000 1
Ge12 0.3537 0.1943 0.5000 1
Ge13 0.3537 0.8057 0.5000 1
Ge14 0.5000 0.3537 0.1943 1
Ge15 0.5000 0.3537 0.8057 1
Ge16 0.5000 0.5000 0.5000 1
Ge17 0.5000 0.6463 0.1943 1
Ge18 0.5000 0.6463 0.8057 1
Ge19 0.6463 0.1943 0.5000 1
Ge20 0.6463 0.8057 0.5000 1
Ge21 0.6943 0.1463 0.0000 1
Ge22 0.6943 0.8537 0.0000 1
Ge23 0.8057 0.5000 0.3537 1
Ge24 0.8057 0.5000 0.6463 1
Ge25 0.8537 0.0000 0.3057 1
Ge26 0.8537 0.0000 0.6943 1
Ir1 0.2500 0.2500 0.2500 1
Ir2 0.2500 0.2500 0.7500 1
Ir3 0.2500 0.7500 0.2500 1
Ir4 0.2500 0.7500 0.7500 1
Ir5 0.7500 0.2500 0.2500 1
Ir6 0.7500 0.2500 0.7500 1
Ir7 0.7500 0.7500 0.2500 1
Ir8 0.7500 0.7500 0.7500 1
```

Top 10 peaks for 2θ = 10–80°, in order of falling intensity:
d_spacing, 2theta, Rel. int.
2.531, 35.5, 100.0
1.863, 48.9, 58.4
2.282, 39.5, 56.8
4.563, 19.5, 53.9
2.635, 34.0, 53.2
2.041, 44.4, 44.0
1.376, 68.2, 39.5
2.439, 36.8, 39.4
3.227, 27.6, 29.8
1.613, 57.1, 21.9


# 11
The following is a simulated XRD peak list of Nd2Ge2Ir. It was derived from a structure optimized by DFT (PBE), using a wavelength of 1.5418 Å.

Structural model:
```
data_Nd2Ge2Ir
_cell_length_a 5.9671
_cell_length_b 5.9671
_cell_length_c 10.1542
_cell_angle_alpha 90.87
_cell_angle_beta 90.87
_cell_angle_gamma 41.86
_space_group_name_H-M_alt 'P 1'
_space_group_IT_number 1
_space_group_name_Hall 'P 1'
loop_
_atom_site_label
_atom_site_fract_x
_atom_site_fract_y
_atom_site_fract_z
_atom_site_occupancy
Nd1 0.1361 0.1361 0.4655 1
Nd2 0.2962 0.2962 0.8025 1
Nd3 0.7038 0.7038 0.1975 1
Nd4 0.8639 0.8639 0.5345 1
Ge1 0.1155 0.1155 0.0064 1
Ge2 0.4250 0.4250 0.3226 1
Ge3 0.5750 0.5750 0.6774 1
Ge4 0.8845 0.8845 0.9936 1
Ir1 0.0032 0.0032 0.7854 1
Ir2 0.9968 0.9968 0.2146 1
```

Top 10 peaks for 2θ = 10–80°, in order of falling intensity:
d_spacing, 2theta, Rel. int.
2.463, 36.5, 100.0
3.982, 22.3, 67.3
2.132, 42.4, 58.2
2.709, 33.1, 48.6
2.440, 36.8, 47.6
2.571, 34.9, 39.6
2.146, 42.1, 34.1
3.124, 28.6, 28.2
2.676, 33.5, 27.1
2.426, 37.1, 26.0


# 12
The following is a simulated XRD peak list of NdGe2Ir. It was derived from a structure optimized by DFT (PBE), using a wavelength of 1.5418 Å.

Structural model:
```
data_NdGe2Ir
_cell_length_a 9.5771
_cell_length_b 9.5771
_cell_length_c 9.5771
_cell_angle_alpha 153.47
_cell_angle_beta 123.84
_cell_angle_gamma 63.15
_space_group_name_H-M_alt 'P 1'
_space_group_IT_number 1
_space_group_name_Hall 'P 1'
loop_
_atom_site_label
_atom_site_fract_x
_atom_site_fract_y
_atom_site_fract_z
_atom_site_occupancy
Nd1 0.2064 0.2064 0.0000 1
Nd2 0.2399 0.0000 0.2399 1
Nd3 0.7601 0.0000 0.7601 1
Nd4 0.7936 0.7936 0.0000 1
Ge1 0.0775 0.5775 0.5000 1
Ge2 0.1472 0.8012 0.3459 1
Ge3 0.4211 0.4211 0.0000 1
Ge4 0.4553 0.8012 0.6541 1
Ge5 0.5447 0.1988 0.3459 1
Ge6 0.5789 0.5789 0.0000 1
Ge7 0.8528 0.1988 0.6541 1
Ge8 0.9225 0.4225 0.5000 1
Ir1 0.1055 0.3536 0.7520 1
Ir2 0.3984 0.6464 0.7520 1
Ir3 0.6016 0.3536 0.2480 1
Ir4 0.8945 0.6464 0.2480 1
```

Top 10 peaks for 2θ = 10–80°, in order of falling intensity:
d_spacing, 2theta, Rel. int.
2.724, 32.9, 100.0
2.620, 34.2, 45.5
2.197, 41.1, 36.3
2.329, 38.7, 30.1
2.254, 40.0, 20.8
1.882, 48.4, 20.8
4.508, 19.7, 19.3
1.598, 57.7, 18.8
1.376, 68.2, 17.7
1.574, 58.7, 16.7